1.
The following is a computed powder diffraction line list of Na3Ni2SbO6. It was derived from a cell relaxed with PBE+U, using Cu Kα.
Intensities are scaled so that the largest is 100.

Atomic structure:
```
Na3Ni2SbO6
1.0
2.683 -4.645 0.000
2.683 4.645 0.000
-1.783 0.000 5.397
Na Ni Sb O
3 2 1 6
Direct
0.000 0.000 0.000
0.325 0.675 0.000
0.675 0.325 0.000
0.166 0.834 0.500
0.834 0.166 0.500
0.500 0.500 0.500
0.114 0.432 0.296
0.250 0.250 0.704
0.432 0.114 0.296
0.568 0.886 0.704
0.750 0.750 0.296
0.886 0.568 0.704
```

Peak list (10 most intense, 10° ≤ 2θ ≤ 90°, sorted by position)
16.42°, I 83.2
33.20°, I 19.3
33.87°, I 27.1
35.25°, I 44.2
40.34°, I 100.0
52.22°, I 14.5
57.00°, I 29.5
59.70°, I 28.0
70.05°, I 14.0
74.53°, I 13.1


2.
The following is a computed powder diffraction line list of Na4Ni3Sb2O10. It was derived from a cell relaxed with PBE+U, using Cu Kα.
Intensities are scaled so that the largest is 100.

Atomic structure:
```
Na4Ni3Sb2O10
1.0
2.659 -7.741 0.000
2.659 7.741 0.000
-1.677 0.000 5.486
Na Ni Sb O
4 3 2 10
Direct
0.095 0.905 0.000
0.302 0.698 0.000
0.698 0.302 0.000
0.905 0.095 0.000
0.000 0.000 0.500
0.200 0.800 0.500
0.800 0.200 0.500
0.397 0.603 0.500
0.603 0.397 0.500
0.077 0.467 0.291
0.140 0.344 0.693
0.280 0.280 0.306
0.344 0.140 0.693
0.467 0.077 0.291
0.533 0.923 0.709
0.656 0.860 0.307
0.720 0.720 0.694
0.860 0.656 0.307
0.923 0.533 0.709
```

Peak list (10 most intense, 10° ≤ 2θ ≤ 90°, sorted by position)
16.16°, I 100.0
32.65°, I 18.0
33.89°, I 20.8
34.26°, I 10.4
35.34°, I 37.8
40.03°, I 58.6
40.73°, I 28.0
51.52°, I 11.5
56.68°, I 17.3
60.15°, I 16.1


3.
The following is a computed powder diffraction line list of Na2Si4NiO10. It was derived from a cell relaxed with PBE+U, using Cu Kα.
Intensities are scaled so that the largest is 100.

Atomic structure:
```
Na2Si4NiO10
1.0
7.027 0.000 0.000
-3.299 6.978 0.000
-2.176 -3.186 9.082
Na Si Ni O
4 8 2 20
Direct
0.158 0.256 0.477
0.242 0.774 0.919
0.758 0.226 0.081
0.842 0.744 0.523
0.103 0.859 0.240
0.261 0.561 0.305
0.314 0.120 0.750
0.416 0.791 0.641
0.584 0.209 0.359
0.686 0.880 0.250
0.739 0.439 0.695
0.897 0.141 0.760
0.244 0.185 0.077
0.756 0.815 0.923
0.065 0.890 0.081
0.080 0.128 0.684
0.089 0.638 0.231
0.154 0.322 0.230
0.254 0.897 0.640
0.294 0.602 0.483
0.344 0.041 0.365
0.383 0.140 0.920
0.448 0.716 0.779
0.492 0.298 0.704
0.508 0.702 0.296
0.552 0.284 0.221
0.617 0.860 0.080
0.656 0.959 0.635
0.706 0.398 0.517
0.746 0.103 0.360
0.846 0.678 0.770
0.911 0.362 0.769
0.920 0.872 0.316
0.935 0.110 0.919
```

Peak list (10 most intense, 10° ≤ 2θ ≤ 90°, sorted by position)
13.45°, I 97.8
14.70°, I 45.3
22.60°, I 72.3
23.57°, I 41.2
27.06°, I 68.1
28.07°, I 100.0
28.95°, I 40.8
29.91°, I 87.2
34.30°, I 45.1
38.89°, I 42.0


4.
The following is a computed powder diffraction line list of NaSmNi4O12. It was derived from a cell relaxed with PBE+U, using Cu Kα.
Intensities are scaled so that the largest is 100.

Atomic structure:
```
NaSmNi4O12
1.0
5.358 0.000 0.000
0.000 5.358 0.000
0.000 0.000 7.653
Na Sm Ni O
1 1 4 12
Direct
0.000 0.000 0.000
0.500 0.500 0.500
0.000 0.500 0.246
0.000 0.500 0.754
0.500 0.000 0.246
0.500 0.000 0.754
0.000 0.500 0.000
0.000 0.500 0.500
0.265 0.265 0.268
0.265 0.265 0.732
0.265 0.735 0.268
0.265 0.735 0.732
0.500 0.000 0.000
0.500 0.000 0.500
0.735 0.265 0.268
0.735 0.265 0.732
0.735 0.735 0.268
0.735 0.735 0.732
```

Peak list (10 most intense, 10° ≤ 2θ ≤ 90°, sorted by position)
11.56°, I 40.7
16.54°, I 39.5
20.23°, I 80.1
33.28°, I 100.0
33.45°, I 50.4
39.40°, I 27.8
47.53°, I 24.2
48.03°, I 48.2
59.68°, I 38.2
69.88°, I 25.9